# 1
# TaSiO4
Computed PXRD pattern, a wavelength of 1.5418 Å. Input: a cell relaxed with PBE.
Neutral-atom scattering factors, no anomalous dispersion.

Most intense lines, 5° ≤ 2θ ≤ 70°, most intense first:
| d (Å) | Rel. int. |
| --- | --- |
| 4.709 | 100 |
| 2.928 | 31 |
| 2.408 | 20 |
| 1.895 | 18 |
| 3.962 | 15 |
| 2.801 | 13 |
| 2.574 | 11 |
| 1.641 | 11 |

Structure:
abc: 5.602 5.602 8.694
angles: 90.00 90.00 90.00
Space group I-4 (No. 82)
Inequivalent atoms, fractional coordinates:
Ta 0.000 0.000 0.000 x2
Si 0.000 0.500 0.750 x2
O 0.002 0.737 0.859 x8

---

# 2
# Tb6Si3O
Computed PXRD pattern, a wavelength of 1.5418 Å. Input: a cell relaxed with PBE.
Neutral-atom scattering factors, no anomalous dispersion.

Most intense lines, 5° ≤ 2θ ≤ 70°, most intense first:
| d (Å) | Rel. int. |
| --- | --- |
| 2.662 | 100 |
| 3.376 | 63 |
| 2.460 | 49 |
| 2.416 | 45 |
| 3.593 | 44 |
| 3.079 | 43 |
| 3.460 | 39 |
| 3.172 | 37 |

Structure:
abc: 11.163 13.842 6.751
angles: 90.00 90.00 90.00
Space group Cmc2_1 (No. 36)
Inequivalent atoms, fractional coordinates:
Tb 0.000 0.048 0.000 x4
Tb 0.000 0.225 0.458 x4
Tb 0.157 0.267 0.970 x8
Tb 0.162 0.473 0.456 x8
Si 0.000 0.388 0.742 x4
Si 0.173 0.108 0.684 x8
O 0.000 0.199 0.130 x4

---

# 3
# TbTlSi2O6
Computed PXRD pattern, a wavelength of 1.5418 Å. Input: a cell relaxed with PBE.
Neutral-atom scattering factors, no anomalous dispersion.

Most intense lines, 5° ≤ 2θ ≤ 70°, most intense first:
| d (Å) | Rel. int. |
| --- | --- |
| 3.203 | 100 |
| 5.103 | 84 |
| 2.802 | 64 |
| 3.676 | 57 |
| 2.690 | 41 |
| 2.249 | 28 |
| 2.552 | 27 |
| 2.076 | 23 |

Structure:
abc: 10.428 10.069 5.497
angles: 90.00 101.83 90.00
Space group C2/c (No. 15)
Inequivalent atoms, fractional coordinates:
Tb 0.000 0.119 0.250 x4
Tl 0.000 0.319 0.750 x4
Si 0.220 0.420 0.297 x8
O 0.121 0.063 0.635 x8
O 0.153 0.275 0.248 x8
O 0.165 0.492 0.535 x8

---

# 4
# SiTc2O
Computed PXRD pattern, a wavelength of 1.5418 Å. Input: a cell relaxed with PBE.
Neutral-atom scattering factors, no anomalous dispersion.

Most intense lines, 5° ≤ 2θ ≤ 70°, most intense first:
| d (Å) | Rel. int. |
| --- | --- |
| 2.861 | 100 |
| 1.711 | 28 |
| 2.258 | 22 |
| 2.606 | 17 |
| 1.549 | 16 |
| 1.843 | 13 |
| 1.399 | 11 |
| 1.846 | 9 |

Structure:
abc: 5.212 5.212 9.075
angles: 90.00 90.00 90.00
Space group I-42d (No. 122)
Inequivalent atoms, fractional coordinates:
Si 0.000 0.000 0.000 x4
Tc 0.187 0.250 0.625 x8
O 0.000 0.000 0.500 x4

---

# 5
# SiTeO2
Computed PXRD pattern, a wavelength of 1.5418 Å. Input: a cell relaxed with PBE.
Neutral-atom scattering factors, no anomalous dispersion.

Most intense lines, 5° ≤ 2θ ≤ 70°, most intense first:
| d (Å) | Rel. int. |
| --- | --- |
| 2.720 | 100 |
| 2.320 | 38 |
| 1.571 | 37 |
| 4.442 | 23 |
| 1.360 | 15 |
| 1.923 | 11 |
| 1.481 | 11 |
| 1.765 | 7 |

Structure:
abc: 7.694 7.694 7.694
angles: 90.00 90.00 90.00
Space group Fd-3m (No. 227, origin choice 2)
Inequivalent atoms, fractional coordinates:
Si 0.125 0.125 0.125 x8
Te 0.125 0.125 0.625 x8
O 0.000 0.000 0.000 x16

---

# 6
# ThSi2O2
Computed PXRD pattern, a wavelength of 1.5418 Å. Input: a cell relaxed with PBE.
Neutral-atom scattering factors, no anomalous dispersion.

Most intense lines, 5° ≤ 2θ ≤ 70°, most intense first:
| d (Å) | Rel. int. |
| --- | --- |
| 8.526 | 100 |
| 4.263 | 38 |
| 4.237 | 23 |
| 3.452 | 19 |
| 2.118 | 15 |
| 2.503 | 15 |
| 2.676 | 11 |
| 2.710 | 10 |

Structure:
abc: 9.764 9.764 17.492
angles: 90.00 90.00 90.00
Space group I4_1/amd (No. 141, origin choice 2)
Inequivalent atoms, fractional coordinates:
Th 0.000 0.000 0.000 x8
Si 0.000 0.101 0.836 x16
O 0.000 0.055 0.119 x16

---

# 7
# Ti4Si3O24
Computed PXRD pattern, a wavelength of 1.5418 Å. Input: a cell relaxed with PBE.
Neutral-atom scattering factors, no anomalous dispersion.

Most intense lines, 5° ≤ 2θ ≤ 70°, most intense first:
| d (Å) | Rel. int. |
| --- | --- |
| 7.900 | 100 |
| 3.225 | 48 |
| 4.561 | 23 |
| 2.793 | 19 |
| 2.498 | 18 |
| 1.862 | 12 |
| 1.396 | 11 |
| 5.586 | 10 |

Structure:
abc: 7.900 7.900 7.900
angles: 90.00 90.00 90.00
Space group P-43m (No. 215)
Inequivalent atoms, fractional coordinates:
Ti 0.154 0.154 0.154 x4
Si 0.000 0.000 0.500 x3
O 0.000 0.500 0.500 x3
O 0.104 0.104 0.896 x4
O 0.121 0.121 0.383 x12
O 0.339 0.339 0.661 x4
O 0.500 0.500 0.500 x1

---

# 8
# TiSi4O10
Computed PXRD pattern, a wavelength of 1.5418 Å. Input: a cell relaxed with PBE.
Neutral-atom scattering factors, no anomalous dispersion.

Most intense lines, 5° ≤ 2θ ≤ 70°, most intense first:
| d (Å) | Rel. int. |
| --- | --- |
| 3.773 | 100 |
| 5.336 | 84 |
| 3.297 | 75 |
| 3.666 | 73 |
| 3.066 | 73 |
| 3.355 | 59 |
| 4.315 | 40 |
| 2.325 | 37 |

Structure:
abc: 7.546 7.546 14.666
angles: 90.00 90.00 90.00
Space group P4/ncc (No. 130, origin choice 2)
Inequivalent atoms, fractional coordinates:
Ti 0.250 0.250 0.049 x4
Si 0.027 0.054 0.357 x16
O 0.006 0.235 0.880 x16
O 0.015 0.515 0.250 x8
O 0.058 0.106 0.080 x16